Entry 1:
Structure and simulated XRD peak list of Fe4O13 (a cell relaxed with PBE+U; Cu Kα (weighted mean of Kα1 and Kα2)).

Cell and atoms:
```
data_Fe4O13
_cell_length_a 10.1151
_cell_length_b 7.6803
_cell_length_c 6.3479
_cell_angle_alpha 90.00
_cell_angle_beta 127.72
_cell_angle_gamma 90.00
_symmetry_space_group_name_H-M 'C 1 2/m 1'
_symmetry_Int_Tables_number 12
_symmetry_space_group_name_Hall '-C 2y'
loop_
_atom_site_label
_atom_site_type_symbol
_atom_site_fract_x
_atom_site_fract_y
_atom_site_fract_z
Fe1 Fe 0.2500 0.2500 0.0000
Fe2 Fe 0.2500 0.2500 0.5000
O1 O 0.0000 0.0000 0.0000
O2 O 0.0010 0.1971 0.3931
O3 O 0.1629 0.3216 0.1655
O4 O 0.2073 0.5000 0.5996
O5 O 0.2083 0.5000 0.8191
```

Peak list (10 most intense, 2θ = 5–70°, low angle first)
| index | Position (°2θ) | d (Å) | Rel. int. |
| --- | --- | --- | --- |
| 2 0 0 | 22.2 | 4.001 | 100.0 |
| 0 2 0 | 23.2 | 3.840 | 94.9 |
| 2 2 0 | 32.3 | 2.770 | 33.4 |
| 0 0 2 | 35.8 | 2.511 | 24.5 |
| 4 0 -2 | 36.5 | 2.462 | 23.4 |
| 2 2 -2 | 36.7 | 2.446 | 42.8 |
| 1 3 -1 | 37.9 | 2.374 | 24.7 |
| 0 2 2 | 43.0 | 2.101 | 27.9 |
| 4 2 -2 | 43.7 | 2.073 | 27.0 |
| 2 2 -4 | 67.6 | 1.385 | 26.9 |

---

Entry 2:
Structure and simulated XRD peak list of Fe3O4 (a cell relaxed with PBE+U; Cu Kα (weighted mean of Kα1 and Kα2)).

Cell and atoms:
```
data_Fe3O4
_cell_length_a 9.9933
_cell_length_b 2.9332
_cell_length_c 9.8682
_cell_angle_alpha 90.00
_cell_angle_beta 90.03
_cell_angle_gamma 90.00
_symmetry_space_group_name_H-M 'P 1 c 1'
_symmetry_Int_Tables_number 7
_symmetry_space_group_name_Hall 'P -2yc'
loop_
_atom_site_label
_atom_site_type_symbol
_atom_site_fract_x
_atom_site_fract_y
_atom_site_fract_z
Fe1 Fe 0.0000 0.2281 0.0000
Fe2 Fe 0.1625 0.2606 0.2554
Fe3 Fe 0.3123 0.2516 0.5151
Fe4 Fe 0.4763 0.2398 0.7625
Fe5 Fe 0.6660 0.2505 0.5109
Fe6 Fe 0.8134 0.2609 0.2488
O1 O 0.1246 0.2431 0.6147
O2 O 0.2323 0.2410 0.8781
O3 O 0.3598 0.2572 0.1715
O4 O 0.4914 0.2588 0.4070
O5 O 0.6185 0.2535 0.1518
O6 O 0.7334 0.2438 0.8807
O7 O 0.8466 0.2395 0.6112
O8 O 0.9834 0.2752 0.3454
```

Peak list (10 most intense, 2θ = 5–70°, low angle first)
| index | Position (°2θ) | d (Å) | Rel. int. |
| --- | --- | --- | --- |
| 3 0 -2 | 32.4 | 2.761 | 100.0 |
| 1 1 1 | 33.1 | 2.707 | 26.7 |
| 0 0 4 | 36.4 | 2.467 | 20.7 |
| 2 1 -1 | 36.7 | 2.450 | 19.9 |
| 1 1 -3 | 42.3 | 2.139 | 41.7 |
| 2 1 3 | 45.2 | 2.005 | 43.0 |
| 5 1 1 | 56.5 | 1.629 | 19.8 |
| 2 1 -5 | 59.4 | 1.556 | 14.5 |
| 3 0 6 | 63.0 | 1.475 | 28.6 |
| 0 2 0 | 63.4 | 1.467 | 13.0 |

---

Entry 3:
Structure and simulated XRD peak list of Fe2O5 (a cell relaxed with PBE+U; Cu Kα (weighted mean of Kα1 and Kα2)).

Cell and atoms:
```
data_Fe2O5
_cell_length_a 4.6729
_cell_length_b 5.3313
_cell_length_c 6.2956
_cell_angle_alpha 100.44
_cell_angle_beta 110.85
_cell_angle_gamma 90.69
_symmetry_space_group_name_H-M 'P -1'
_symmetry_Int_Tables_number 2
_symmetry_space_group_name_Hall '-P 1'
loop_
_atom_site_label
_atom_site_type_symbol
_atom_site_fract_x
_atom_site_fract_y
_atom_site_fract_z
Fe1 Fe 0.1054 0.1992 0.2076
Fe2 Fe 0.3818 0.2968 0.7797
O1 O 0.0120 0.4918 0.6783
O2 O 0.1342 0.9674 0.6703
O3 O 0.2188 0.8763 0.0841
O4 O 0.3583 0.3728 0.0901
O5 O 0.4170 0.2366 0.4821
```

Peak list (10 most intense, 2θ = 5–70°, low angle first)
| index | Position (°2θ) | d (Å) | Rel. int. |
| --- | --- | --- | --- |
| 1 -1 0 | 25.5 | 3.490 | 100.0 |
| 1 1 -1 | 25.9 | 3.437 | 89.3 |
| 1 1 0 | 27.7 | 3.218 | 26.4 |
| 0 0 2 | 31.0 | 2.883 | 45.8 |
| 1 -1 1 | 32.0 | 2.795 | 38.0 |
| 1 1 -2 | 32.6 | 2.746 | 39.5 |
| 0 2 0 | 34.3 | 2.612 | 26.2 |
| 1 1 1 | 37.0 | 2.432 | 21.6 |
| -1 1 2 | 37.1 | 2.420 | 22.7 |
| 2 2 -3 | 58.7 | 1.572 | 20.4 |

---

Entry 4:
Structure and simulated XRD peak list of Fe3O4 (a cell relaxed with PBE+U; Cu Kα (weighted mean of Kα1 and Kα2)).

Cell and atoms:
```
data_Fe3O4
_cell_length_a 10.0055
_cell_length_b 2.9558
_cell_length_c 9.7954
_cell_angle_alpha 90.00
_cell_angle_beta 90.29
_cell_angle_gamma 90.00
_symmetry_space_group_name_H-M 'P 1 c 1'
_symmetry_Int_Tables_number 7
_symmetry_space_group_name_Hall 'P -2yc'
loop_
_atom_site_label
_atom_site_type_symbol
_atom_site_fract_x
_atom_site_fract_y
_atom_site_fract_z
Fe1 Fe 0.0000 0.1749 0.0000
Fe2 Fe 0.1730 0.2898 0.7443
Fe3 Fe 0.3245 0.2452 0.4797
Fe4 Fe 0.4962 0.2210 0.2276
Fe5 Fe 0.6730 0.2553 0.4787
Fe6 Fe 0.8216 0.2712 0.7435
O1 O 0.1357 0.2125 0.3831
O2 O 0.2500 0.2284 0.1134
O3 O 0.3612 0.2662 0.8409
O4 O 0.4989 0.2748 0.5729
O5 O 0.6339 0.2529 0.8399
O6 O 0.7488 0.2306 0.1107
O7 O 0.8571 0.2331 0.3810
O8 O 0.9983 0.3202 0.6533
```

Peak list (10 most intense, 2θ = 5–70°, low angle first)
| index | Position (°2θ) | d (Å) | Rel. int. |
| --- | --- | --- | --- |
| 3 0 -2 | 32.4 | 2.763 | 100.0 |
| 3 0 2 | 32.6 | 2.750 | 99.3 |
| 1 1 -1 | 32.9 | 2.723 | 51.4 |
| 2 1 1 | 36.5 | 2.463 | 37.3 |
| 0 0 4 | 36.7 | 2.450 | 47.7 |
| 1 1 3 | 42.2 | 2.141 | 85.1 |
| 2 1 -3 | 45.1 | 2.010 | 39.3 |
| 2 1 3 | 45.2 | 2.005 | 37.3 |
| 5 1 -1 | 56.3 | 1.634 | 36.4 |
| 3 0 -6 | 63.3 | 1.469 | 30.1 |

---

Entry 5:
Structure and simulated XRD peak list of FeO (a cell relaxed with PBE+U; Cu Kα (weighted mean of Kα1 and Kα2)).

Cell and atoms:
```
data_FeO
_cell_length_a 5.3079
_cell_length_b 5.3079
_cell_length_c 10.6045
_cell_angle_alpha 90.00
_cell_angle_beta 90.00
_cell_angle_gamma 120.00
_symmetry_space_group_name_H-M 'P -6 2 c'
_symmetry_Int_Tables_number 190
_symmetry_space_group_name_Hall 'P -6c -2c'
loop_
_atom_site_label
_atom_site_type_symbol
_atom_site_fract_x
_atom_site_fract_y
_atom_site_fract_z
Fe1 Fe 0.0069 0.3341 0.1248
O1 O 0.0000 0.0000 0.0000
O2 O 0.0112 0.6762 0.2500
O3 O 0.3333 0.6667 0.5145
```

Peak list (5 most intense, 2θ = 5–70°, low angle first)
| index | Position (°2θ) | d (Å) | Rel. int. |
| --- | --- | --- | --- |
| 1 1 0 | 33.8 | 2.653 | 100.0 |
| 1 1 2 | 37.9 | 2.373 | 9.0 |
| 1 1 4 | 48.5 | 1.876 | 93.7 |
| 3 0 0 | 60.4 | 1.532 | 27.3 |
| 1 1 6 | 63.2 | 1.471 | 1.1 |

---

Entry 6:
Structure and simulated XRD peak list of Fe23O25 (a cell relaxed with PBE+U; Cu Kα (weighted mean of Kα1 and Kα2)).

Cell and atoms:
```
data_Fe23O25
_cell_length_a 6.8175
_cell_length_b 6.8520
_cell_length_c 12.0689
_cell_angle_alpha 87.12
_cell_angle_beta 73.68
_cell_angle_gamma 72.78
_symmetry_space_group_name_H-M 'P -1'
_symmetry_Int_Tables_number 2
_symmetry_space_group_name_Hall '-P 1'
loop_
_atom_site_label
_atom_site_type_symbol
_atom_site_fract_x
_atom_site_fract_y
_atom_site_fract_z
Fe1 Fe 0.0000 0.0000 0.0000
Fe2 Fe 0.0385 0.4141 0.8742
Fe3 Fe 0.1190 0.1835 0.6401
Fe4 Fe 0.1548 0.6056 0.5251
Fe5 Fe 0.1965 0.0042 0.3918
Fe6 Fe 0.2296 0.3974 0.2772
Fe7 Fe 0.2646 0.8127 0.1614
Fe8 Fe 0.3088 0.2042 0.0453
Fe9 Fe 0.3533 0.5996 0.9171
Fe10 Fe 0.3811 0.9935 0.7986
Fe11 Fe 0.4367 0.4123 0.6813
Fe12 Fe 0.4799 0.8010 0.5617
O1 O 0.0121 0.7006 0.9572
O2 O 0.0648 0.1054 0.8214
O3 O 0.1194 0.4722 0.6962
O4 O 0.1567 0.9034 0.5626
O5 O 0.1875 0.3040 0.4606
O6 O 0.2367 0.6864 0.3379
O7 O 0.2947 0.0944 0.2215
O8 O 0.3106 0.5009 0.0989
O9 O 0.3499 0.9046 0.9694
O10 O 0.3922 0.2911 0.8464
O11 O 0.4274 0.6951 0.7378
O12 O 0.4566 0.1075 0.6307
O13 O 0.5000 0.5000 0.5000
```

Peak list (10 most intense, 2θ = 5–70°, low angle first)
| index | Position (°2θ) | d (Å) | Rel. int. |
| --- | --- | --- | --- |
| -1 1 3 | 35.5 | 2.528 | 35.5 |
| 2 1 4 | 35.8 | 2.510 | 100.0 |
| 0 1 -5 | 40.9 | 2.207 | 76.8 |
| 1 3 2 | 41.7 | 2.167 | 72.3 |
| 3 0 1 | 41.8 | 2.159 | 71.0 |
| 1 2 7 | 59.6 | 1.552 | 21.0 |
| 3 1 -4 | 59.8 | 1.546 | 20.8 |
| 1 4 -3 | 60.0 | 1.541 | 41.0 |
| -2 3 1 | 60.3 | 1.534 | 20.1 |
| 4 3 3 | 60.7 | 1.525 | 19.6 |

---

Entry 7:
Structure and simulated XRD peak list of Fe3O4 (a cell relaxed with PBE+U; Cu Kα (weighted mean of Kα1 and Kα2)).

Cell and atoms:
```
data_Fe3O4
_cell_length_a 6.0471
_cell_length_b 6.0471
_cell_length_c 14.7160
_cell_angle_alpha 90.00
_cell_angle_beta 90.00
_cell_angle_gamma 120.00
_symmetry_space_group_name_H-M 'R -3 m'
_symmetry_Int_Tables_number 166
_symmetry_space_group_name_Hall '-R 3 2"'
loop_
_atom_site_label
_atom_site_type_symbol
_atom_site_fract_x
_atom_site_fract_y
_atom_site_fract_z
Fe1 Fe 0.0000 0.0000 0.0000
Fe2 Fe 0.0000 0.0000 0.3739
Fe3 Fe 0.0000 0.5000 0.5000
O1 O 0.0000 0.0000 0.2432
O2 O 0.0143 0.5072 0.7487
```

Peak list (10 most intense, 2θ = 5–70°, low angle first)
| index | Position (°2θ) | d (Å) | Rel. int. |
| --- | --- | --- | --- |
| 1 0 1 | 18.0 | 4.934 | 8.7 |
| 1 1 0 | 29.5 | 3.024 | 18.7 |
| 1 0 4 | 29.7 | 3.010 | 18.4 |
| 0 2 1 | 34.8 | 2.575 | 100.0 |
| 0 1 5 | 35.0 | 2.566 | 33.7 |
| 0 2 4 | 42.4 | 2.133 | 28.1 |
| 2 1 4 | 52.5 | 1.744 | 10.1 |
| 1 2 5 | 55.9 | 1.643 | 33.7 |
| 2 2 0 | 61.3 | 1.512 | 30.8 |
| 2 0 8 | 61.6 | 1.505 | 30.2 |

---

Entry 8:
Structure and simulated XRD peak list of Fe23O32 (a cell relaxed with PBE+U; Cu Kα (weighted mean of Kα1 and Kα2)).

Cell and atoms:
```
data_Fe23O32
_cell_length_a 11.7369
_cell_length_b 11.7369
_cell_length_c 14.4996
_cell_angle_alpha 90.00
_cell_angle_beta 90.00
_cell_angle_gamma 120.00
_symmetry_space_group_name_H-M 'R -3 m'
_symmetry_Int_Tables_number 166
_symmetry_space_group_name_Hall '-R 3 2"'
loop_
_atom_site_label
_atom_site_type_symbol
_atom_site_fract_x
_atom_site_fract_y
_atom_site_fract_z
Fe1 Fe 0.0000 0.0000 0.1293
Fe2 Fe 0.0000 0.2534 0.0000
Fe3 Fe 0.0000 0.5000 0.5000
Fe4 Fe 0.0030 0.5015 0.1213
Fe5 Fe 0.0815 0.1631 0.6653
O1 O 0.0000 0.0000 0.2629
O2 O 0.0148 0.5074 0.2562
O3 O 0.0161 0.2500 0.7507
O4 O 0.0808 0.1616 0.3988
O5 O 0.0903 0.1805 0.9131
```

Peak list (10 most intense, 2θ = 5–70°, low angle first)
| index | Position (°2θ) | d (Å) | Rel. int. |
| --- | --- | --- | --- |
| 0 2 4 | 30.3 | 2.951 | 25.3 |
| 2 2 0 | 30.5 | 2.934 | 15.5 |
| 2 0 5 | 35.6 | 2.519 | 31.3 |
| 4 0 1 | 35.8 | 2.506 | 100.0 |
| 4 0 4 | 43.5 | 2.081 | 25.0 |
| 4 0 7 | 57.4 | 1.606 | 10.8 |
| 4 2 5 | 57.6 | 1.601 | 18.4 |
| 6 0 3 | 57.7 | 1.599 | 13.7 |
| 0 4 8 | 63.0 | 1.476 | 28.4 |
| 4 4 0 | 63.4 | 1.467 | 28.4 |